Structure and theoretical powder XRD pattern of ErNbN2O (the PBE geometry in OQMD; Cu Kα, 1.54184 Å).

Main lines, low angle first (10° ≤ 2θ ≤ 80°):
d [Å], 2θ/deg, Rel. int.
2.871, 31.15, 42
2.799, 31.98, 100
2.781, 32.19, 100
2.732, 32.79, 53
2.697, 33.22, 19
1.992, 45.54, 17
1.966, 46.16, 41
1.596, 57.77, 20
1.593, 57.89, 21
1.583, 58.28, 21

Cell and atoms:
```
ErNbN2O
1.0
7.8749 0.0000 0.0000
0.0000 7.8661 0.0000
-7.4783 0.0000 7.9672
Er Nb N O
8 8 16 8
direct
0.0612 0.2289 0.0303 Er
0.0612 0.2711 0.5303 Er
0.4359 0.7342 0.4694 Er
0.4359 0.7658 0.9694 Er
0.5641 0.2342 0.0306 Er
0.5641 0.2658 0.5306 Er
0.9388 0.7289 0.4697 Er
0.9388 0.7711 0.9697 Er
0.0242 0.0097 0.2675 Nb
0.0242 0.4903 0.7675 Nb
0.4761 0.5029 0.2228 Nb
0.4761 0.9971 0.7228 Nb
0.5239 0.0029 0.2772 Nb
0.5239 0.4971 0.7772 Nb
0.9758 0.5097 0.2325 Nb
0.9758 0.9903 0.7325 Nb
0.0397 0.7463 0.2170 N
0.0397 0.7537 0.7170 N
0.1825 0.5691 0.0000 N
0.1825 0.9309 0.5000 N
0.3111 0.0565 0.3120 N
0.3111 0.4435 0.8120 N
0.4572 0.2449 0.6767 N
0.4572 0.2551 0.1767 N
0.5428 0.7449 0.8233 N
0.5428 0.7551 0.3233 N
0.6889 0.5565 0.1880 N
0.6889 0.9435 0.6880 N
0.8175 0.0691 0.5000 N
0.8175 0.4309 0.0000 N
0.9603 0.2463 0.2830 N
0.9603 0.2537 0.7830 N
0.1828 0.5439 0.4972 O
0.1828 0.9561 0.9972 O
0.3239 0.0471 0.8242 O
0.3239 0.4529 0.3242 O
0.6761 0.5471 0.6758 O
0.6761 0.9529 0.1758 O
0.8172 0.0439 0.0028 O
0.8172 0.4561 0.5028 O
```

=====

Structure and theoretical powder XRD pattern of ErNbN2O (the PBE geometry in OQMD; Cu Kα, 1.54184 Å).

Main lines, low angle first (10° ≤ 2θ ≤ 80°):
d [Å], 2θ/deg, Rel. int.
3.990, 22.28, 5
2.849, 31.40, 17
2.791, 32.06, 100
2.538, 35.36, 8
1.995, 45.46, 15
1.952, 46.52, 10
1.634, 56.32, 8
1.612, 57.14, 23
1.600, 57.60, 8
1.396, 67.03, 7

Cell and atoms:
```
ErNbN2O
1.0
7.9772 0.0000 0.0000
0.0000 7.8091 0.0000
-7.8214 0.0000 7.9845
Er Nb N O
8 8 16 8
direct
0.1738 0.0191 0.2122 Er
0.1738 0.4809 0.7122 Er
0.2347 0.0083 0.7437 Er
0.2347 0.4917 0.2437 Er
0.7653 0.5083 0.7563 Er
0.7653 0.9917 0.2563 Er
0.8262 0.5191 0.2878 Er
0.8262 0.9809 0.7878 Er
0.2817 0.7410 0.0049 Nb
0.2817 0.7590 0.5049 Nb
0.2878 0.2451 0.5250 Nb
0.2878 0.2549 0.0250 Nb
0.7122 0.7451 0.9750 Nb
0.7122 0.7549 0.4750 Nb
0.7183 0.2410 0.4951 Nb
0.7183 0.2590 0.9951 Nb
0.1673 0.0049 0.4831 N
0.1673 0.4951 0.9831 N
0.2739 0.5033 0.4783 N
0.2739 0.9967 0.9783 N
0.4098 0.7044 0.9039 N
0.4098 0.7956 0.4039 N
0.4210 0.2342 0.2582 N
0.4210 0.2658 0.7582 N
0.5790 0.7342 0.2418 N
0.5790 0.7658 0.7418 N
0.5902 0.2044 0.5961 N
0.5902 0.2956 0.0961 N
0.7261 0.0033 0.0217 N
0.7261 0.4967 0.5217 N
0.8327 0.5049 0.0169 N
0.8327 0.9951 0.5169 N
0.0455 0.6896 0.5360 O
0.0455 0.8104 0.0360 O
0.0723 0.2437 0.7601 O
0.0723 0.2563 0.2601 O
0.9277 0.7437 0.7399 O
0.9277 0.7563 0.2399 O
0.9545 0.1896 0.9640 O
0.9545 0.3104 0.4640 O
```

=====

Structure and theoretical powder XRD pattern of PrErNO (the PBE geometry in OQMD; Cu Kα, 1.54184 Å).

Main lines, low angle first (10° ≤ 2θ ≤ 80°):
d [Å], 2θ/deg, Rel. int.
3.512, 25.36, 43
2.869, 31.18, 100
2.486, 36.13, 22
2.030, 44.65, 42
2.023, 44.79, 12
1.654, 55.55, 15
1.572, 58.72, 21
1.569, 58.85, 10
1.499, 61.91, 15
1.285, 73.76, 7

Cell and atoms:
```
PrErNO
1.0
4.9718 0.0000 0.0000
0.0000 4.0470 0.0000
0.0000 0.0000 7.0395
Pr Er N O
2 2 2 2
direct
0.2500 0.0000 0.1642 Pr
0.7500 0.0000 0.8358 Pr
0.2500 0.5000 0.6634 Er
0.7500 0.5000 0.3366 Er
0.2500 0.5000 0.3481 N
0.7500 0.5000 0.6519 N
0.2500 0.0000 0.8007 O
0.7500 0.0000 0.1993 O
```

=====

Structure and theoretical powder XRD pattern of Er3Se2NO (the PBE geometry in OQMD; Cu Kα, 1.54184 Å).

Main lines, low angle first (10° ≤ 2θ ≤ 80°):
d [Å], 2θ/deg, Rel. int.
3.383, 26.34, 14
3.180, 28.06, 49
2.992, 29.87, 13
2.895, 30.89, 100
2.390, 37.64, 31
2.376, 37.87, 17
2.189, 41.24, 16
1.956, 46.42, 30
1.929, 47.11, 19
1.649, 55.73, 15

Cell and atoms:
```
Er3Se2NO
1.0
7.6753 -1.9292 0.0000
7.6753 1.9292 0.0000
-1.2531 0.0000 9.5077
Er Se N O
6 4 2 2
direct
0.0450 0.0450 0.2591 Er
0.1963 0.1963 0.6750 Er
0.3926 0.3926 0.0561 Er
0.6074 0.6074 0.9439 Er
0.8037 0.8037 0.3250 Er
0.9550 0.9550 0.7409 Er
0.2128 0.2128 0.1499 Se
0.3714 0.3714 0.5274 Se
0.6286 0.6286 0.4726 Se
0.7872 0.7872 0.8501 Se
0.0967 0.0967 0.8116 N
0.9033 0.9033 0.1884 N
0.4636 0.4636 0.8612 O
0.5364 0.5364 0.1388 O
```